Sm12Y6Er: computed X-ray powder pattern (CuKα), based on a crystal structure in Alexandria, relaxed with GGA-PBE.
Lines closer than 0.1° are merged.

Most intense lines, 10 to 90 degrees two-theta, low angle first:
2θ/deg  I/Imax
25.0  50
27.0  80
31.2  51
32.8  100
33.3  59
33.9  39
38.3  41
46.5  34

Atomic structure:
a = 16.3927 Å, b = 16.3927 Å, c = 8.3824 Å
α = 90.00°, β = 90.00°, γ = 120.00°
Space group R-3m (No. 166, hexagonal axes)
Symmetry-distinct sites (fractional):
Sm  0.0000  0.3753  0.0000
Sm  0.0971  0.5485  0.3105
Y  0.0875  0.1749  0.1406
Er  0.0000  0.0000  0.5000


Pm4Si2H: computed X-ray powder pattern (CuKα), based on a crystal structure in Alexandria, relaxed with GGA-PBE.
Lines closer than 0.1° are merged.

Most intense lines, 10 to 90 degrees two-theta, low angle first:
2θ/deg  I/Imax
25.6  33
30.0  100
32.9  25
33.8  23
35.7  39
39.9  40
52.6  27
53.2  36

Atomic structure:
a = 4.523 Å, b = 4.523 Å, c = 16.339 Å
α = 90.00°, β = 90.00°, γ = 90.00°
Space group I4/mmm (No. 139)
Symmetry-distinct sites (fractional):
Pm  0.000  0.000  0.182
Pm  0.000  0.500  0.000
Si  0.000  0.000  0.366
H  0.000  0.000  0.000


> Number 2 is which compound?

Pm4Si2H


> Which formula does entry 1 have?

Sm12Y6Er